The following is a calculated XRD peak list of PmHBrF. It was derived from a crystal structure in Alexandria, relaxed with GGA-PBE, using CuKα.
No peak broadening, texture or thermal motion is included.

Crystal structure
a = 3.913 Å, b = 3.979 Å, c = 10.940 Å
α = 90.00°, β = 90.00°, γ = 90.00°
Space group Imm2 (No. 44)
Symmetry-distinct sites (fractional):
Pm 0.000 0.000 0.000
H 0.000 0.500 0.418
Br 0.000 0.000 0.650
F 0.000 0.500 0.907

Peak list (10 most intense, 10 to 80 degrees two-theta, by angle)
hkl 0 0 2, 16.20°, I 100.0
hkl 0 1 1, 23.79°, I 39.3
hkl 1 0 1, 24.15°, I 72.5
hkl 1 1 0, 32.08°, I 79.6
hkl 0 1 3, 33.33°, I 87.5
hkl 1 0 3, 33.59°, I 83.1
hkl 1 1 2, 36.14°, I 60.2
hkl 2 0 0, 46.44°, I 33.5
hkl 1 2 3, 57.81°, I 34.6
hkl 2 1 3, 58.33°, I 34.5